Starting from a crystal structure in Alexandria, relaxed with PBE, the powder diffraction line list of Tm3Zn9Ga2 was computed for Cu Ka.
No peak broadening, texture or thermal motion is included.

```
data_Tm3Zn9Ga2
_symmetry_space_group_name_H-M 'P 1'
_symmetry_Int_Tables_number 1
_cell_length_a 8.068
_cell_length_b 8.068
_cell_length_c 8.068
_cell_angle_alpha 149.42
_cell_angle_beta 108.30
_cell_angle_gamma 79.92
loop_
_symmetry_equiv_pos_as_xyz
'x,y,z'
loop_
_atom_site_label
_atom_site_type_symbol
_atom_site_fract_x
_atom_site_fract_y
_atom_site_fract_z
Tm1 Tm 0.000 0.000 0.000
Tm2 Tm 0.301 0.301 0.000
Tm3 Tm 0.699 0.699 0.000
Zn1 Zn 0.027 0.658 0.368
Zn2 Zn 0.135 0.857 0.278
Zn3 Zn 0.290 0.658 0.632
Zn4 Zn 0.421 0.143 0.278
Zn5 Zn 0.500 0.000 0.500
Zn6 Zn 0.579 0.857 0.722
Zn7 Zn 0.710 0.342 0.368
Zn8 Zn 0.865 0.143 0.722
Zn9 Zn 0.973 0.342 0.632
Ga1 Ga 0.305 0.500 0.805
Ga2 Ga 0.695 0.500 0.195
```

Largest 8 diffraction maxima, by intensity, 10 to 90 degrees two-theta:
two_theta	I (rel.)
35.81	100
42.49	29
35.46	26
37.18	18
38.42	17
70.09	15
34.67	14
43.92	14

Starting from a crystal structure in Alexandria, relaxed with PBE, the powder diffraction line list of Tm2ZnGa5 was computed for Cu Ka.
No peak broadening, texture or thermal motion is included.

```
data_Tm2ZnGa5
_symmetry_space_group_name_H-M 'P 1'
_symmetry_Int_Tables_number 1
_cell_length_a 5.955
_cell_length_b 5.955
_cell_length_c 5.955
_cell_angle_alpha 119.97
_cell_angle_beta 119.97
_cell_angle_gamma 90.06
loop_
_symmetry_equiv_pos_as_xyz
'x,y,z'
loop_
_atom_site_label
_atom_site_type_symbol
_atom_site_fract_x
_atom_site_fract_y
_atom_site_fract_z
Tm1 Tm 0.000 0.500 0.500
Tm2 Tm 0.500 0.000 0.500
Zn1 Zn 0.499 0.499 0.000
Ga1 Ga 0.000 0.000 0.500
Ga2 Ga 0.000 0.500 0.000
Ga3 Ga 0.001 0.001 0.000
Ga4 Ga 0.500 0.000 0.000
Ga5 Ga 0.500 0.500 0.500
```

Largest 8 diffraction maxima, by intensity, 10 to 90 degrees two-theta:
two_theta	I (rel.)
36.97	100
42.95	49
74.76	37
62.36	32
21.09	18
30.00	15
78.70	11
48.32	9

Starting from a crystal structure in Alexandria, relaxed with PBE, the powder diffraction line list of TmZn11Ga was computed for Cu Ka.
No peak broadening, texture or thermal motion is included.

```
data_TmZn11Ga
_symmetry_space_group_name_H-M 'P 1'
_symmetry_Int_Tables_number 1
_cell_length_a 6.794
_cell_length_b 6.794
_cell_length_c 6.780
_cell_angle_alpha 98.53
_cell_angle_beta 98.53
_cell_angle_gamma 134.53
loop_
_symmetry_equiv_pos_as_xyz
'x,y,z'
loop_
_atom_site_label
_atom_site_type_symbol
_atom_site_fract_x
_atom_site_fract_y
_atom_site_fract_z
Tm1 Tm 0.000 0.000 0.000
Zn1 Zn 0.000 0.000 0.500
Zn2 Zn 0.000 0.500 0.000
Zn3 Zn 0.009 0.652 0.648
Zn4 Zn 0.280 0.496 0.787
Zn5 Zn 0.348 0.991 0.352
Zn6 Zn 0.496 0.280 0.787
Zn7 Zn 0.500 0.000 0.000
Zn8 Zn 0.504 0.720 0.213
Zn9 Zn 0.652 0.009 0.648
Zn10 Zn 0.720 0.504 0.213
Zn11 Zn 0.991 0.348 0.352
Ga1 Ga 0.500 0.500 0.500
```

Largest 8 diffraction maxima, by intensity, 10 to 90 degrees two-theta:
two_theta	I (rel.)
39.92	100
40.52	100
40.75	71
34.86	66
40.62	34
45.03	33
28.22	31
34.15	24

Starting from a crystal structure in Alexandria, relaxed with PBE, the powder diffraction line list of Tm3Zn3Ga8 was computed for Cu Ka.
No peak broadening, texture or thermal motion is included.

```
data_Tm3Zn3Ga8
_symmetry_space_group_name_H-M 'P 1'
_symmetry_Int_Tables_number 1
_cell_length_a 8.191
_cell_length_b 8.191
_cell_length_c 8.191
_cell_angle_alpha 150.36
_cell_angle_beta 105.37
_cell_angle_gamma 82.29
loop_
_symmetry_equiv_pos_as_xyz
'x,y,z'
loop_
_atom_site_label
_atom_site_type_symbol
_atom_site_fract_x
_atom_site_fract_y
_atom_site_fract_z
Tm1 Tm 0.000 0.000 0.000
Tm2 Tm 0.311 0.311 0.000
Tm3 Tm 0.689 0.689 0.000
Zn1 Zn 0.303 0.500 0.803
Zn2 Zn 0.500 0.000 0.500
Zn3 Zn 0.697 0.500 0.197
Ga1 Ga 0.029 0.656 0.373
Ga2 Ga 0.142 0.860 0.282
Ga3 Ga 0.283 0.656 0.627
Ga4 Ga 0.422 0.140 0.282
Ga5 Ga 0.578 0.860 0.718
Ga6 Ga 0.717 0.344 0.373
Ga7 Ga 0.858 0.140 0.718
Ga8 Ga 0.971 0.344 0.627
```

Largest 8 diffraction maxima, by intensity, 10 to 90 degrees two-theta:
two_theta	I (rel.)
35.53	100
34.53	33
43.17	31
34.79	23
69.07	19
44.04	18
37.57	18
30.45	18

Starting from a crystal structure in Alexandria, relaxed with PBE, the powder diffraction line list of Tm4ZnGa12 was computed for Cu Ka.
No peak broadening, texture or thermal motion is included.

```
data_Tm4ZnGa12
_symmetry_space_group_name_H-M 'P 1'
_symmetry_Int_Tables_number 1
_cell_length_a 7.475
_cell_length_b 7.475
_cell_length_c 7.475
_cell_angle_alpha 109.47
_cell_angle_beta 109.47
_cell_angle_gamma 109.47
loop_
_symmetry_equiv_pos_as_xyz
'x,y,z'
loop_
_atom_site_label
_atom_site_type_symbol
_atom_site_fract_x
_atom_site_fract_y
_atom_site_fract_z
Tm1 Tm 0.000 0.000 0.500
Tm2 Tm 0.000 0.500 0.000
Tm3 Tm 0.500 0.000 0.000
Tm4 Tm 0.500 0.500 0.500
Zn1 Zn 0.000 0.000 0.000
Ga1 Ga 0.000 0.301 0.301
Ga2 Ga 0.000 0.699 0.699
Ga3 Ga 0.250 0.500 0.750
Ga4 Ga 0.250 0.750 0.500
Ga5 Ga 0.301 0.000 0.301
Ga6 Ga 0.301 0.301 0.000
Ga7 Ga 0.500 0.250 0.750
Ga8 Ga 0.500 0.750 0.250
Ga9 Ga 0.699 0.000 0.699
Ga10 Ga 0.699 0.699 0.000
Ga11 Ga 0.750 0.250 0.500
Ga12 Ga 0.750 0.500 0.250
```

Largest 8 diffraction maxima, by intensity, 10 to 90 degrees two-theta:
two_theta	I (rel.)
36.04	100
41.86	59
29.26	34
60.69	33
72.66	29
20.58	12
47.08	11
68.78	11

Starting from a crystal structure in Alexandria, relaxed with PBE, the powder diffraction line list of TmZn3Ga was computed for Cu Ka.
No peak broadening, texture or thermal motion is included.

```
data_TmZn3Ga
_symmetry_space_group_name_H-M 'P 1'
_symmetry_Int_Tables_number 1
_cell_length_a 4.073
_cell_length_b 4.073
_cell_length_c 6.113
_cell_angle_alpha 109.25
_cell_angle_beta 109.25
_cell_angle_gamma 90.18
loop_
_symmetry_equiv_pos_as_xyz
'x,y,z'
loop_
_atom_site_label
_atom_site_type_symbol
_atom_site_fract_x
_atom_site_fract_y
_atom_site_fract_z
Tm1 Tm 0.000 0.000 0.000
Zn1 Zn 0.251 0.754 0.505
Zn2 Zn 0.615 0.615 0.231
Zn3 Zn 0.754 0.251 0.505
Ga1 Ga 0.395 0.395 0.788
```

Largest 8 diffraction maxima, by intensity, 10 to 90 degrees two-theta:
two_theta	I (rel.)
35.28	100
33.19	90
44.49	63
35.41	33
56.56	30
67.14	25
47.67	24
31.05	24

Starting from a crystal structure in Alexandria, relaxed with PBE, the powder diffraction line list of Tm3Zn6Ga5 was computed for Cu Ka.
No peak broadening, texture or thermal motion is included.

```
data_Tm3Zn6Ga5
_symmetry_space_group_name_H-M 'P 1'
_symmetry_Int_Tables_number 1
_cell_length_a 4.202
_cell_length_b 12.381
_cell_length_c 9.638
_cell_angle_alpha 90.00
_cell_angle_beta 90.00
_cell_angle_gamma 90.00
loop_
_symmetry_equiv_pos_as_xyz
'x,y,z'
loop_
_atom_site_label
_atom_site_type_symbol
_atom_site_fract_x
_atom_site_fract_y
_atom_site_fract_z
Tm1 Tm 0.250 0.058 0.249
Tm2 Tm 0.250 0.442 0.249
Tm3 Tm 0.250 0.750 0.252
Tm4 Tm 0.750 0.250 0.748
Tm5 Tm 0.750 0.558 0.751
Tm6 Tm 0.750 0.942 0.751
Zn1 Zn 0.250 0.091 0.618
Zn2 Zn 0.250 0.250 0.045
Zn3 Zn 0.250 0.250 0.450
Zn4 Zn 0.250 0.409 0.618
Zn5 Zn 0.250 0.602 0.977
Zn6 Zn 0.250 0.898 0.977
Zn7 Zn 0.750 0.102 0.023
Zn8 Zn 0.750 0.398 0.023
Zn9 Zn 0.750 0.591 0.382
Zn10 Zn 0.750 0.750 0.550
Zn11 Zn 0.750 0.750 0.955
Zn12 Zn 0.750 0.909 0.382
Ga1 Ga 0.250 0.094 0.874
Ga2 Ga 0.250 0.406 0.874
Ga3 Ga 0.250 0.609 0.528
Ga4 Ga 0.250 0.750 0.763
Ga5 Ga 0.250 0.891 0.528
Ga6 Ga 0.750 0.109 0.472
Ga7 Ga 0.750 0.250 0.237
Ga8 Ga 0.750 0.391 0.472
Ga9 Ga 0.750 0.594 0.126
Ga10 Ga 0.750 0.906 0.126
```

Largest 8 diffraction maxima, by intensity, 10 to 90 degrees two-theta:
two_theta	I (rel.)
35.74	100
43.06	31
35.16	29
43.89	28
35.41	23
37.29	22
30.36	17
38.14	15

Starting from a crystal structure in Alexandria, relaxed with PBE, the powder diffraction line list of Tm3Zn7Ga2 was computed for Cu Ka.
No peak broadening, texture or thermal motion is included.

```
data_Tm3Zn7Ga2
_symmetry_space_group_name_H-M 'P 1'
_symmetry_Int_Tables_number 1
_cell_length_a 9.095
_cell_length_b 9.095
_cell_length_c 9.095
_cell_angle_alpha 34.74
_cell_angle_beta 34.74
_cell_angle_gamma 34.74
loop_
_symmetry_equiv_pos_as_xyz
'x,y,z'
loop_
_atom_site_label
_atom_site_type_symbol
_atom_site_fract_x
_atom_site_fract_y
_atom_site_fract_z
Tm1 Tm 0.000 0.000 0.000
Tm2 Tm 0.142 0.142 0.142
Tm3 Tm 0.858 0.858 0.858
Zn1 Zn 0.077 0.588 0.588
Zn2 Zn 0.412 0.412 0.923
Zn3 Zn 0.412 0.923 0.412
Zn4 Zn 0.500 0.500 0.500
Zn5 Zn 0.588 0.077 0.588
Zn6 Zn 0.588 0.588 0.077
Zn7 Zn 0.923 0.412 0.412
Ga1 Ga 0.335 0.335 0.335
Ga2 Ga 0.665 0.665 0.665
```

Largest 8 diffraction maxima, by intensity, 10 to 90 degrees two-theta:
two_theta	I (rel.)
39.33	100
32.99	51
30.96	39
38.44	37
33.87	33
42.32	27
63.18	24
69.20	23